[1]
CrRe2O6: simulated powder diffraction line list (copper Kα), based on a PBE+U-relaxed structure.

Largest 10 diffraction maxima, by angle, 5 to 70 degrees two-theta:
- 2θ = 21.29°, intensity 42
- 2θ = 26.30°, intensity 100
- 2θ = 36.87°, intensity 66
- 2θ = 37.54°, intensity 24
- 2θ = 43.55°, intensity 15
- 2θ = 50.74°, intensity 10
- 2θ = 53.63°, intensity 56
- 2θ = 54.13°, intensity 17
- 2θ = 61.16°, intensity 17
- 2θ = 67.30°, intensity 16

```
CrRe2O6
1.0
4.7923 0.0000 0.0000
0.0000 4.7923 0.0000
0.0000 0.0000 8.4940
Cr Re O
2 4 12
direct
0.0000 0.0000 0.0000
0.5000 0.5000 0.5000
0.0000 0.0000 0.3476
0.0000 0.0000 0.6524
0.5000 0.5000 0.1524
0.5000 0.5000 0.8476
0.2036 0.2036 0.1714
0.2036 0.2036 0.8286
0.2197 0.2197 0.5000
0.2803 0.7197 0.0000
0.2964 0.7036 0.3286
0.2964 0.7036 0.6714
0.7036 0.2964 0.3286
0.7036 0.2964 0.6714
0.7197 0.2803 0.0000
0.7803 0.7803 0.5000
0.7964 0.7964 0.1714
0.7964 0.7964 0.8286
```



[2]
Sr2CoO3: simulated powder diffraction line list (copper Kα), based on a PBE+U-relaxed structure.

Largest 10 diffraction maxima, by angle, 5 to 70 degrees two-theta:
- 2θ = 8.15°, intensity 100
- 2θ = 16.33°, intensity 10
- 2θ = 29.25°, intensity 12
- 2θ = 31.20°, intensity 16
- 2θ = 34.27°, intensity 10
- 2θ = 35.70°, intensity 13
- 2θ = 36.39°, intensity 10
- 2θ = 36.53°, intensity 8
- 2θ = 41.61°, intensity 9
- 2θ = 55.96°, intensity 8

```
Sr2CoO3
1.0
2.4808 -2.5151 0.0000
2.4808 2.5151 0.0000
-1.0556 0.0000 10.8539
Sr Co O
2 1 3
direct
0.0442 0.0442 0.2083
0.9558 0.9558 0.7917
0.5000 0.5000 0.0000
0.0000 0.0000 0.0000
0.4597 0.4597 0.8101
0.5403 0.5403 0.1899
```